Entry 1:
Starting from DFT lattice parameters and positions (PBE+U), the powder X-ray diffraction pattern of Li2FeF4 was calculated for Cu Kα, 1.54184 Å.
Peak positions follow from Bragg's law for the DFT cell and can differ from measured ones.

Structural model:
Cell: 7.0562 8.8187 10.5542 Å, 90.00 90.77 90.00°
Space group P2_1/c (No. 14)
One atom of each set of equivalent atoms:
Li 0.1771 0.0584 0.1493
Li 0.2552 0.5633 0.3664
Li 0.2618 0.1109 0.6283
Li 0.2925 0.5827 0.8883
Fe 0.0194 0.7454 0.1131
Fe 0.4739 0.7487 0.1315
F 0.0466 0.0559 0.8101
F 0.1137 0.2301 0.0597
F 0.1800 0.5747 0.0551
F 0.2528 0.1255 0.3164
F 0.2580 0.7449 0.2684
F 0.2630 0.6046 0.5429
F 0.4197 0.0704 0.7791
F 0.4823 0.1615 0.5350

The 10 most intense peaks (2θ from 10° to 90°), sorted by position:
h k l  d_spacing  Position (°2θ)  I (rel.)
0 1 2  4.528  19.61  1000
0 2 0  4.409  20.14  451
2 0 0  3.529  25.24  133
2 1 -2  2.799  31.98  260
2 1 2  2.767  32.35  200
2 2 0  2.755  32.50  245
1 3 2  2.408  37.34  142
2 3 -2  2.083  43.45  136
2 2 4  1.895  48.00  147
0 3 6  1.509  61.44  200

---

Entry 2:
Starting from DFT lattice parameters and positions (PBE+U), the powder X-ray diffraction pattern of Rb2Cr2O7 was calculated for Cu Kα, 1.54184 Å.
Peak positions follow from Bragg's law for the DFT cell and can differ from measured ones.

Structural model:
Cell: 13.8021 7.8447 7.8733 Å, 90.00 90.06 90.00°
Space group C2/c (No. 15)
One atom of each set of equivalent atoms:
Rb 0.1470 0.1469 0.3523
Cr 0.1001 0.3234 0.8572
O 0.0000 0.4208 0.7500
O 0.0609 0.2010 0.0115
O 0.1595 0.2043 0.7213
O 0.1711 0.4727 0.9297

The 10 most intense peaks (2θ from 10° to 90°), sorted by position:
h k l  d_spacing  Position (°2θ)  I (rel.)
0 2 0  3.925  22.65  201
3 1 -1  3.545  25.12  174
0 2 1  3.511  25.37  598
4 0 0  3.451  25.82  443
2 0 2  3.419  26.06  1000
2 2 -1  3.129  28.52  452
5 1 1  2.472  36.35  164
4 2 -1  2.461  36.51  256
2 2 -3  2.080  43.51  383
4 0 -4  1.710  53.60  170

---

Entry 3:
Starting from DFT lattice parameters and positions (PBE+U), the powder X-ray diffraction pattern of KRb2VF6 was calculated for Cu Kα, 1.54184 Å.
Peak positions follow from Bragg's law for the DFT cell and can differ from measured ones.

Structural model:
Cell: 9.0597 9.0597 9.0597 Å, 90.00 90.00 90.00°
Space group Fm-3m (No. 225)
One atom of each set of equivalent atoms:
K 0.0000 0.0000 0.0000
Rb 0.2500 0.2500 0.2500
V 0.0000 0.0000 0.5000
F 0.0000 0.0000 0.2814

The 10 most intense peaks (2θ from 10° to 90°), sorted by position:
h k l  d_spacing  Position (°2θ)  I (rel.)
1 1 1  5.231  16.95  49
2 2 0  3.203  27.85  1000
2 2 2  2.615  34.29  266
4 0 0  2.265  39.80  476
4 2 2  1.849  49.27  359
4 4 0  1.602  57.55  271
6 2 0  1.432  65.12  197
6 2 2  1.366  68.73  70
4 4 4  1.308  72.25  81
6 4 2  1.211  79.10  210

---

Entry 4:
Starting from DFT lattice parameters and positions (PBE+U), the powder X-ray diffraction pattern of BaSr4Fe5O15 was calculated for Cu Kα, 1.54184 Å.
Peak positions follow from Bragg's law for the DFT cell and can differ from measured ones.

Structural model:
Cell: 5.5813 27.8740 3.9380 Å, 90.00 90.00 90.00°
Space group Cmmm (No. 65)
One atom of each set of equivalent atoms:
Ba 0.0000 0.0000 0.0000
Sr 0.0000 0.2004 0.0000
Sr 0.0000 0.3992 0.0000
Fe 0.0000 0.1013 0.5000
Fe 0.0000 0.2996 0.5000
Fe 0.0000 0.5000 0.5000
O 0.0000 0.1030 0.0000
O 0.0000 0.2995 0.0000
O 0.0000 0.5000 0.0000
O 0.2451 0.4477 0.5000
O 0.2497 0.1511 0.5000
O 0.2500 0.2500 0.5000

The 10 most intense peaks (2θ from 10° to 90°), sorted by position:
h k l  d_spacing  Position (°2θ)  I (rel.)
2 0 0  2.788  32.11  1000
2 0 1  2.276  39.60  143
0 0 2  1.971  46.05  374
3 5 1  1.609  57.24  379
4 0 0  1.395  67.12  72
2 10 2  1.393  67.18  143
4 10 0  1.247  76.36  108
1 5 3  1.246  76.48  54
4 10 1  1.189  80.83  29
4 0 2  1.138  85.29  71

---

Entry 5:
Starting from DFT lattice parameters and positions (PBE+U), the powder X-ray diffraction pattern of LiCoPO4 was calculated for Cu Kα, 1.54184 Å.
Peak positions follow from Bragg's law for the DFT cell and can differ from measured ones.

Structural model:
Cell: 10.3399 6.2300 4.7223 Å, 90.00 90.00 90.00°
Space group Pnma (No. 62)
One atom of each set of equivalent atoms:
Li 0.2150 0.2500 0.0056
Co 0.0000 0.0000 0.5000
P 0.0932 0.7500 0.0828
O 0.0475 0.2500 0.7781
O 0.0857 0.7500 0.7530
O 0.1578 0.5453 0.2031

The 10 most intense peaks (2θ from 10° to 90°), sorted by position:
h k l  d_spacing  Position (°2θ)  I (rel.)
2 0 0  5.170  17.15  1000
1 0 1  4.296  20.68  166
2 1 0  3.978  22.35  305
3 0 1  2.784  32.15  404
1 2 1  2.522  35.60  701
3 2 1  2.076  43.60  220
5 0 1  1.894  48.03  132
2 2 2  1.768  51.70  247
0 4 0  1.557  59.36  164
6 2 0  1.508  61.49  166